Starting from a DFT-relaxed cell (PBE+U, Alexandria), the powder X-ray diffraction pattern of RbW3O9 was computed for CuKα.
Lines closer than 0.1° are merged.

Cell and atoms:
```
13
Lattice="7.526 0.000 0.000 -3.763 6.518 0.000 0.000 0.000 3.884" Properties=species:S:1:pos:R:3 pbc="T T T"
Rb 0.000 0.000 0.000
W -1.882 3.259 1.942
W 3.763 0.000 1.942
W 1.882 3.259 1.942
O -1.882 3.259 0.000
O 0.000 2.742 1.942
O -1.388 5.147 1.942
O 2.375 1.371 1.942
O 3.763 0.000 0.000
O 1.882 3.259 0.000
O 1.388 5.147 1.942
O 5.151 1.371 1.942
O 3.763 3.776 1.942
```

Main lines, in order of falling intensity (10 to 90 degrees two-theta):
2θ (°)	d [Å]	I/Imax	(hkl)
27.37	3.259	100	2 0 0
26.72	3.337	36	1 0 1
22.90	3.884	33	0 0 1
35.97	2.497	32	2 0 1
55.05	1.668	29	2 0 2
48.38	1.882	25	2 2 0
33.15	2.703	21	1 1 1
13.59	6.518	20	1 0 0
69.57	1.351	17	2 2 2
56.47	1.629	16	4 0 0